Sc2SiO5: calculated X-ray powder pattern (Cu Kα X-rays), based on a cell relaxed with GGA-PBE.
Peak positions follow from Bragg's law for the DFT cell and can differ from measured ones.

Principal peaks in the range 10° ≤ 2θ ≤ 90°, in order of rising 2θ:
- hkl 3 1 -1, 23.68°, rel. 35.6
- hkl 3 1 -2, 25.41°, rel. 41.9
- hkl 4 0 -2, 26.26°, rel. 86.3
- hkl 0 2 1, 29.51°, rel. 96.8
- hkl 3 1 -3, 30.98°, rel. 62.6
- hkl 2 0 2, 31.84°, rel. 100.0
- hkl 3 1 2, 41.08°, rel. 28.3
- hkl 2 2 2, 42.55°, rel. 36.0
- hkl 1 3 -1, 42.87°, rel. 25.1
- hkl 7 3 -3, 63.91°, rel. 25.9

Crystal structure
a b c (Å): 13.864 6.484 9.912
angles (deg): 90.00 121.54 90.00
Space group C2/c (No. 15)
Symmetry-distinct sites (fractional):
Sc (0.039, 0.243, 0.476)
Sc (0.140, 0.122, 0.842)
Si (0.183, 0.404, 0.308)
O (0.018, 0.101, 0.898)
O (0.084, 0.482, 0.132)
O (0.123, 0.203, 0.338)
O (0.199, 0.153, 0.682)
O (0.204, 0.420, 0.939)